[1]
Theoretical powder diffractogram of Sm8Te4P3C for Cu Kα, 1.54184 Å, from a DFT-relaxed cell (PBE, Alexandria).
Lines closer than 0.1° are merged.

Structural model:
Cell: 8.638 8.638 8.638 Å, 57.48 57.48 57.48°
Fractional positions:
Sm: 0.238 0.238 0.238
Sm: 0.254 0.725 0.725
Sm: 0.275 0.275 0.746
Sm: 0.275 0.746 0.275
Sm: 0.725 0.255 0.725
Sm: 0.725 0.725 0.254
Sm: 0.746 0.275 0.275
Sm: 0.762 0.762 0.762
Te: 0.000 0.000 0.000
Te: 0.000 0.500 0.500
Te: 0.500 0.000 0.500
Te: 0.500 0.500 0.000
P: 0.000 0.000 0.500
P: 0.000 0.500 0.000
P: 0.500 0.000 0.000
C: 0.500 0.500 0.500

Main lines, by angle (2θ from 10° to 90°):
| d [Å] | Position (°2θ) | intensity |
| --- | --- | --- |
| 2.992 | 29.9 | 100.0 |
| 2.762 | 32.4 | 22.9 |
| 2.156 | 41.9 | 29.8 |
| 2.077 | 43.6 | 37.4 |
| 1.706 | 53.7 | 18.1 |
| 1.569 | 58.9 | 15.4 |


[2]
Theoretical powder diffractogram of TcPC3 for Cu Kα, 1.54184 Å, from a DFT-relaxed cell (PBE, Alexandria).
Lines closer than 0.1° are merged.

Structural model:
Cell: 3.610 3.610 3.610 Å, 90.00 90.00 90.00°
Fractional positions:
Tc: 0.000 0.000 0.000
P: 0.500 0.500 0.500
C: 0.000 0.500 0.500
C: 0.500 0.000 0.500
C: 0.500 0.500 0.000

Main lines, by angle (2θ from 10° to 90°):
| d [Å] | Position (°2θ) | intensity |
| --- | --- | --- |
| 3.610 | 24.7 | 28.2 |
| 2.553 | 35.2 | 100.0 |
| 2.084 | 43.4 | 24.9 |
| 1.805 | 50.6 | 29.4 |
| 1.474 | 63.1 | 35.9 |
| 1.276 | 74.3 | 17.4 |


[3]
Theoretical powder diffractogram of U2TcPC for Cu Kα, 1.54184 Å, from a DFT-relaxed cell (PBE, Alexandria).
Lines closer than 0.1° are merged.

Structural model:
Cell: 6.288 3.460 8.157 Å, 90.00 101.63 90.00°
Fractional positions:
U: 0.211 0.250 0.427
U: 0.212 0.250 0.869
U: 0.788 0.750 0.131
U: 0.789 0.750 0.573
Tc: 0.490 0.750 0.723
Tc: 0.510 0.250 0.277
P: 0.251 0.750 0.143
P: 0.749 0.250 0.857
C: 0.154 0.750 0.627
C: 0.846 0.250 0.373

Main lines, by angle (2θ from 10° to 90°):
| d [Å] | Position (°2θ) | intensity |
| --- | --- | --- |
| 3.080 | 29.0 | 75.7 |
| 3.080 | 29.0 | 37.6 |
| 3.017 | 29.6 | 97.7 |
| 2.718 | 33.0 | 34.1 |
| 2.615 | 34.3 | 100.0 |
| 1.730 | 52.9 | 43.7 |


[4]
Theoretical powder diffractogram of Th6TeP2C3 for Cu Kα, 1.54184 Å, from a DFT-relaxed cell (PBE, Alexandria).
Lines closer than 0.1° are merged.

Structural model:
Cell: 9.132 9.132 8.249 Å, 106.36 106.36 24.91°
Fractional positions:
Th: 0.009 0.009 0.212
Th: 0.320 0.320 0.431
Th: 0.339 0.339 0.903
Th: 0.661 0.661 0.097
Th: 0.680 0.680 0.569
Th: 0.991 0.991 0.788
Te: 0.500 0.500 0.500
P: 0.165 0.165 0.830
P: 0.835 0.835 0.170
C: 0.169 0.169 0.331
C: 0.500 0.500 0.000
C: 0.831 0.831 0.669

Main lines, by angle (2θ from 10° to 90°):
| d [Å] | Position (°2θ) | intensity |
| --- | --- | --- |
| 3.435 | 25.9 | 21.1 |
| 3.241 | 27.5 | 75.9 |
| 2.846 | 31.4 | 100.0 |
| 2.056 | 44.0 | 27.6 |
| 1.972 | 46.0 | 25.5 |
| 1.710 | 53.6 | 18.5 |